Diffraction record for MgWSeBr2. The powder diffraction line list is calculated, not measured: it uses a crystal structure in Alexandria, relaxed with PBE and Cu Kα, 1.54184 Å.
Lines closer than 0.1° are merged.

Top 10 peaks for 5° ≤ 2θ ≤ 70°, low angle first:
- 16.8°, d = 5.287 Å, I = 100.0
- 18.2°, d = 4.885 Å, I = 43.6
- 24.8°, d = 3.588 Å, I = 23.0
- 33.9°, d = 2.643 Å, I = 66.1
- 36.8°, d = 2.443 Å, I = 26.4
- 38.1°, d = 2.364 Å, I = 26.2
- 38.7°, d = 2.325 Å, I = 25.9
- 48.7°, d = 1.869 Å, I = 23.5
- 50.9°, d = 1.794 Å, I = 41.3
- 62.6°, d = 1.484 Å, I = 22.1

Structure:
Cell: 5.2870 5.2870 4.8850 Å, 90.00 90.00 90.00°
Space group P4/mmm (No. 123)
Inequivalent atoms, fractional coordinates:
Mg  0.0000  0.0000  0.0000 (multiplicity 1)
W  0.5000  0.5000  0.5000 (multiplicity 1)
Se  0.5000  0.5000  0.0000 (multiplicity 1)
Br  0.0000  0.5000  0.5000 (multiplicity 2)

***

Diffraction record for MgTeBr. The powder diffraction line list is calculated, not measured: it uses a crystal structure in Alexandria, relaxed with PBE and Cu Kα, 1.54184 Å.
Lines closer than 0.1° are merged.

Top 10 peaks for 5° ≤ 2θ ≤ 70°, low angle first:
- 24.5°, d = 3.635 Å, I = 100.0
- 26.7°, d = 3.344 Å, I = 51.1
- 29.2°, d = 3.056 Å, I = 91.3
- 29.6°, d = 3.020 Å, I = 88.8
- 30.9°, d = 2.889 Å, I = 85.9
- 36.2°, d = 2.480 Å, I = 47.6
- 36.8°, d = 2.442 Å, I = 44.4
- 45.1°, d = 2.010 Å, I = 24.9
- 46.0°, d = 1.975 Å, I = 51.2
- 47.3°, d = 1.921 Å, I = 29.0

Structure:
Cell: 7.8935 6.2977 8.2101 Å, 90.00 117.68 90.00°
Space group P2_1 (No. 4)
Inequivalent atoms, fractional coordinates:
Mg  0.2390  0.0000  0.2070 (multiplicity 2)
Mg  0.2585  0.5963  0.7501 (multiplicity 2)
Te  0.1415  0.9710  0.5060 (multiplicity 2)
Te  0.3644  0.3360  0.5125 (multiplicity 2)
Br  0.1174  0.6765  0.9838 (multiplicity 2)
Br  0.3886  0.1940  0.0258 (multiplicity 2)

***

Repeat the first record exactly.
Diffraction record for MgWSeBr2. The powder diffraction line list is calculated, not measured: it uses a crystal structure in Alexandria, relaxed with PBE and Cu Kα, 1.54184 Å.
Lines closer than 0.1° are merged.

Top 10 peaks for 5° ≤ 2θ ≤ 70°, low angle first:
- 16.8°, d = 5.287 Å, I = 100.0
- 18.2°, d = 4.885 Å, I = 43.6
- 24.8°, d = 3.588 Å, I = 23.0
- 33.9°, d = 2.643 Å, I = 66.1
- 36.8°, d = 2.443 Å, I = 26.4
- 38.1°, d = 2.364 Å, I = 26.2
- 38.7°, d = 2.325 Å, I = 25.9
- 48.7°, d = 1.869 Å, I = 23.5
- 50.9°, d = 1.794 Å, I = 41.3
- 62.6°, d = 1.484 Å, I = 22.1

Structure:
Cell: 5.2870 5.2870 4.8850 Å, 90.00 90.00 90.00°
Space group P4/mmm (No. 123)
Inequivalent atoms, fractional coordinates:
Mg  0.0000  0.0000  0.0000 (multiplicity 1)
W  0.5000  0.5000  0.5000 (multiplicity 1)
Se  0.5000  0.5000  0.0000 (multiplicity 1)
Br  0.0000  0.5000  0.5000 (multiplicity 2)